Calculated powder diffractogram
Compound: HoTlIn
Radiation: a wavelength of 1.5418 Å
Structure: a structure optimized by DFT (PBE)

abc: 4.6501 14.5375 4.6140
angles: 90.00 90.00 90.00
Fractional positions:
Ho 0.0000 0.1538 0.0000
Ho 0.0000 0.8462 0.0000
Ho 0.5000 0.3462 0.0000
Ho 0.5000 0.6538 0.0000
Tl 0.0000 0.3269 0.5000
Tl 0.0000 0.6731 0.5000
Tl 0.5000 0.1731 0.5000
Tl 0.5000 0.8269 0.5000
In 0.0000 0.0000 0.5000
In 0.0000 0.5000 0.0000
In 0.5000 0.0000 0.0000
In 0.5000 0.5000 0.5000

The 6 most intense peaks (15° ≤ 2θ ≤ 90°), sorted by position:
2θ/deg	I_rel
33.01	100
37.11	17
38.73	17
39.04	16
66.50	13
66.93	13

Calculated powder diffractogram
Compound: Ho3TmIn2
Radiation: a wavelength of 1.5418 Å
Structure: a structure optimized by DFT (PBE)

abc: 5.3489 5.3489 6.6769
angles: 90.00 90.00 120.00
Fractional positions:
Ho 0.0000 0.0000 0.0000
Ho 0.3333 0.6667 0.2507
Ho 0.3333 0.6667 0.7493
Tm 0.6667 0.3333 0.5000
In 0.0000 0.0000 0.5000
In 0.6667 0.3333 0.0000

The 6 most intense peaks (15° ≤ 2θ ≤ 90°), sorted by position:
2θ/deg	I_rel
33.07	96
33.51	100
47.80	34
59.63	36
59.90	19
65.97	28

Calculated powder diffractogram
Compound: La2HoMg3Ir2Pd
Radiation: a wavelength of 1.5418 Å
Structure: a structure optimized by DFT (PBE)

abc: 4.0957 7.5180 7.5180
angles: 120.19 90.00 90.00
Fractional positions:
La 0.0000 0.2112 0.7888
La 0.0000 0.7888 0.2112
Ho 0.0000 0.6274 0.6274
Mg 0.5000 0.2178 0.4557
Mg 0.5000 0.4557 0.2178
Mg 0.5000 0.9631 0.9631
Ir 0.5000 0.5502 0.8727
Ir 0.5000 0.8727 0.5502
Pd 0.0000 0.2197 0.2197

The 6 most intense peaks (15° ≤ 2θ ≤ 90°), sorted by position:
2θ/deg	I_rel
23.69	44
32.34	88
35.23	100
41.70	21
44.23	23
62.37	20

Calculated powder diffractogram
Compound: La2HoNiSn3Ir2
Radiation: a wavelength of 1.5418 Å
Structure: a structure optimized by DFT (PBE)

abc: 4.0825 7.5125 7.5125
angles: 119.99 90.00 90.00
Fractional positions:
La 0.0000 0.2077 0.7923
La 0.0000 0.7923 0.2077
Ho 0.0000 0.3811 0.3811
Ni 0.0000 0.7837 0.7837
Sn 0.5000 0.0402 0.0402
Sn 0.5000 0.5450 0.7861
Sn 0.5000 0.7861 0.5450
Ir 0.5000 0.1300 0.4543
Ir 0.5000 0.4543 0.1300

The 6 most intense peaks (15° ≤ 2θ ≤ 90°), sorted by position:
2θ/deg	I_rel
32.39	100
35.28	85
36.54	52
41.64	31
44.38	27
58.79	27

Calculated powder diffractogram
Compound: La2HoZn3Ir2Pt
Radiation: a wavelength of 1.5418 Å
Structure: a structure optimized by DFT (PBE)

abc: 3.9972 7.3337 7.3337
angles: 120.35 90.00 90.00
Fractional positions:
La 0.0000 0.2082 0.7918
La 0.0000 0.7918 0.2082
Ho 0.0000 0.6177 0.6177
Zn 0.5000 0.2183 0.4538
Zn 0.5000 0.4538 0.2183
Zn 0.5000 0.9585 0.9585
Ir 0.5000 0.5484 0.8677
Ir 0.5000 0.8677 0.5484
Pt 0.0000 0.2146 0.2146

The 6 most intense peaks (15° ≤ 2θ ≤ 90°), sorted by position:
2θ/deg	I_rel
33.19	100
36.08	65
36.21	97
42.87	39
44.02	36
45.38	40

Calculated powder diffractogram
Compound: Pr2HoMg3Ir2Pd
Radiation: a wavelength of 1.5418 Å
Structure: a structure optimized by DFT (PBE)

abc: 4.0856 7.4606 7.4606
angles: 119.58 90.00 90.00
Fractional positions:
Pr 0.0000 0.2096 0.7904
Pr 0.0000 0.7904 0.2096
Ho 0.0000 0.6230 0.6230
Mg 0.5000 0.2130 0.4556
Mg 0.5000 0.4556 0.2130
Mg 0.5000 0.9601 0.9601
Ir 0.5000 0.5461 0.8658
Ir 0.5000 0.8658 0.5461
Pd 0.0000 0.2162 0.2162

The 6 most intense peaks (15° ≤ 2θ ≤ 90°), sorted by position:
2θ/deg	I_rel
23.85	44
32.39	45
32.50	100
35.33	92
35.47	63
44.34	36

Calculated powder diffractogram
Compound: Sm2HoMg3Ir2Pt
Radiation: a wavelength of 1.5418 Å
Structure: a structure optimized by DFT (PBE)

abc: 4.0626 7.3768 7.3768
angles: 119.83 90.00 90.00
Fractional positions:
Sm 0.0000 0.2077 0.7923
Sm 0.0000 0.7923 0.2077
Ho 0.0000 0.6183 0.6183
Mg 0.5000 0.2086 0.4539
Mg 0.5000 0.4539 0.2086
Mg 0.5000 0.9604 0.9604
Ir 0.5000 0.5427 0.8686
Ir 0.5000 0.8686 0.5427
Pt 0.0000 0.2111 0.2111

The 6 most intense peaks (15° ≤ 2θ ≤ 90°), sorted by position:
2θ/deg	I_rel
24.11	50
25.99	27
32.78	62
35.74	100
42.37	24
43.57	36

Calculated powder diffractogram
Compound: HoTm2Mg3Ir3
Radiation: a wavelength of 1.5418 Å
Structure: a structure optimized by DFT (PBE)

abc: 4.0291 7.2091 7.2091
angles: 120.06 90.00 90.00
Fractional positions:
Ho 0.0000 0.0000 0.0000
Tm 0.0000 0.4093 0.8176
Tm 0.0000 0.8176 0.4093
Mg 0.5000 0.1636 0.4097
Mg 0.5000 0.4097 0.1636
Mg 0.5000 0.6550 0.6550
Ir 0.0000 0.4106 0.4106
Ir 0.5000 0.0766 0.7414
Ir 0.5000 0.7414 0.0766

The 6 most intense peaks (15° ≤ 2θ ≤ 90°), sorted by position:
2θ/deg	I_rel
24.71	51
33.36	73
36.42	100
43.50	40
44.50	37
69.69	27